For Na2Ga2P2SO12, the PBE geometry in the Materials Project gives the theoretical X-ray powder pattern in this record (Cu Kα (weighted mean of Kα1 and Kα2)).

Top 12 peaks for 5° ≤ 2θ ≤ 70°, low angle first:
| d_spacing | intensity | hkl |
| --- | --- | --- |
| 6.168 | 46 | 1 1 -1 |
| 4.436 | 53 | 1 1 1 |
| 4.404 | 42 | 2 0 -2 |
| 4.305 | 100 | 3 1 -1 |
| 3.719 | 92 | 0 2 1 |
| 3.698 | 42 | 3 1 -2 |
| 3.096 | 26 | 4 0 0 |
| 3.081 | 45 | 2 2 -2 |
| 2.800 | 73 | 3 1 1 |
| 2.792 | 71 | 0 2 2 |
| 2.780 | 51 | 3 1 -3 |
| 2.485 | 73 | 3 3 -1 |

Crystal structure
```
data_Na2Ga2P2SO12
_cell_length_a 14.894
_cell_length_b 8.621
_cell_length_c 8.817
_cell_angle_alpha 90.00
_cell_angle_beta 123.75
_cell_angle_gamma 90.00
_symmetry_space_group_name_H-M 'C 1 c 1'
_symmetry_Int_Tables_number 9
loop_
_symmetry_equiv_pos_as_xyz
'x,y,z'
'x,-y,z+1/2'
'x+1/2,y+1/2,z'
'x+1/2,-y+1/2,z+1/2'
loop_
_atom_site_label
_atom_site_type_symbol
_atom_site_fract_x
_atom_site_fract_y
_atom_site_fract_z
Na1 Na 0.000 0.065 0.000
Na2 Na 0.071 0.255 0.747
Ga1 Ga 0.217 0.251 0.194
Ga2 Ga 0.413 0.256 0.800
P1 P 0.171 0.106 0.496
P2 P 0.313 0.458 0.996
S1 S 0.461 0.101 0.498
O1 O 0.056 0.323 0.014
O2 O 0.069 0.179 0.477
O3 O 0.164 0.073 0.015
O4 O 0.169 0.128 0.319
O5 O 0.237 0.355 0.019
O6 O 0.243 0.440 0.328
O7 O 0.270 0.178 0.666
O8 O 0.369 0.178 0.334
O9 O 0.394 0.357 0.980
O10 O 0.394 0.445 0.669
O11 O 0.461 0.126 0.664
O12 O 0.464 0.068 0.977
```